Diffraction record for U5SiS4. The powder X-ray diffraction pattern is theoretical, not measured: it uses the PBE geometry in the Materials Project and Cu Kα X-rays.

Largest 6 diffraction maxima, most intense first, 10 to 90 degrees two-theta:
3.186 Å, I 100; 2.759 Å, I 93; 1.951 Å, I 69; 1.664 Å, I 50; 1.234 Å, I 33; 1.127 Å, I 26

Crystal structure
Lattice parameters (Å, degrees): 8.7274 8.7274 5.5169 90.00 90.00 90.00
Space group I4/m (No. 87)
One atom of each set of equivalent atoms:
U (0.0000, 0.0000, 0.0000) (multiplicity 2)
U (0.1011, 0.6956, 0.5000) (multiplicity 8)
Si (0.0000, 0.0000, 0.5000) (multiplicity 2)
S (0.1025, 0.7009, 0.0000) (multiplicity 8)